Diffraction record for La5Cu6. The powder X-ray diffraction pattern is theoretical, not measured: it uses a PBE-relaxed structure and a wavelength of 1.5418 Å.
Peak positions follow from Bragg's law for the DFT cell and can differ from measured ones.

Atomic structure:
Unit cell a=15.227 b=15.227 c=3.935 alpha=90.00 beta=90.00 gamma=163.22
Fractional positions:
La 0.000 0.000 0.000
La 0.197 0.803 0.500
La 0.385 0.615 0.000
La 0.615 0.385 0.000
La 0.803 0.197 0.500
Cu 0.084 0.916 0.500
Cu 0.274 0.726 0.000
Cu 0.459 0.541 0.500
Cu 0.541 0.459 0.500
Cu 0.726 0.274 0.000
Cu 0.916 0.084 0.500

Most intense lines, 2θ = 10–80°, low angle first:
| d/Å | 2θ (°) | Rel. int. |
| --- | --- | --- |
| 3.576 | 24.9 | 31 |
| 2.827 | 31.7 | 100 |
| 2.721 | 32.9 | 62 |
| 2.431 | 37.0 | 28 |
| 2.332 | 38.6 | 31 |
| 2.222 | 40.6 | 33 |
| 2.212 | 40.8 | 16 |
| 1.968 | 46.1 | 22 |
| 1.722 | 53.2 | 39 |
| 1.473 | 63.1 | 17 |

---

Diffraction record for LaCu4. The powder X-ray diffraction pattern is theoretical, not measured: it uses a PBE-relaxed structure and a wavelength of 1.5418 Å.
Peak positions follow from Bragg's law for the DFT cell and can differ from measured ones.

Atomic structure:
Unit cell a=11.509 b=11.509 c=11.509 alpha=134.47 beta=134.47 gamma=66.35
Fractional positions:
La 0.000 0.000 0.000
La 0.052 0.552 0.500
La 0.129 0.374 0.755
La 0.207 0.207 0.000
La 0.448 0.948 0.500
La 0.619 0.374 0.245
La 0.626 0.381 0.755
La 0.626 0.871 0.245
La 0.793 0.793 0.000
Cu 0.005 0.505 0.009
Cu 0.005 0.995 0.500
Cu 0.113 0.040 0.395
Cu 0.113 0.718 0.073
Cu 0.151 0.794 0.357
Cu 0.206 0.563 0.357
Cu 0.206 0.849 0.643
Cu 0.246 0.246 0.492
Cu 0.246 0.754 0.000
Cu 0.282 0.355 0.395
Cu 0.282 0.887 0.927
Cu 0.331 0.076 0.746
Cu 0.331 0.585 0.254
Cu 0.365 0.079 0.286
Cu 0.386 0.542 0.844
Cu 0.415 0.669 0.746
Cu 0.437 0.794 0.643
Cu 0.458 0.302 0.844
Cu 0.458 0.614 0.156
Cu 0.495 0.505 0.500
Cu 0.495 0.995 0.991
Cu 0.553 0.209 0.344
Cu 0.645 0.040 0.927
Cu 0.645 0.718 0.605
Cu 0.698 0.542 0.156
Cu 0.754 0.246 0.000
Cu 0.754 0.754 0.508
Cu 0.791 0.134 0.344
Cu 0.791 0.447 0.656
Cu 0.794 0.079 0.714
Cu 0.866 0.209 0.656
Cu 0.921 0.206 0.286
Cu 0.921 0.635 0.714
Cu 0.924 0.669 0.254
Cu 0.960 0.355 0.073
Cu 0.960 0.887 0.605

Most intense lines, 2θ = 10–80°, low angle first:
| d/Å | 2θ (°) | Rel. int. |
| --- | --- | --- |
| 2.634 | 34.0 | 100 |
| 2.605 | 34.4 | 43 |
| 2.450 | 36.7 | 81 |
| 2.352 | 38.3 | 57 |
| 2.306 | 39.1 | 62 |
| 2.227 | 40.5 | 86 |
| 2.118 | 42.7 | 51 |
| 2.019 | 44.9 | 60 |
| 1.617 | 56.9 | 30 |
| 1.352 | 69.6 | 38 |

---

Diffraction record for LaCu. The powder X-ray diffraction pattern is theoretical, not measured: it uses a PBE-relaxed structure and a wavelength of 1.5418 Å.
Peak positions follow from Bragg's law for the DFT cell and can differ from measured ones.

Atomic structure:
Unit cell a=6.229 b=6.229 c=6.229 alpha=145.54 beta=136.38 gamma=56.74
Fractional positions:
La 0.351 0.101 0.250
La 0.649 0.899 0.750
Cu 0.078 0.328 0.750
Cu 0.922 0.672 0.250

Most intense lines, 2θ = 10–80°, low angle first:
| d/Å | 2θ (°) | Rel. int. |
| --- | --- | --- |
| 3.497 | 25.5 | 19 |
| 2.868 | 31.2 | 36 |
| 2.740 | 32.7 | 17 |
| 2.553 | 35.2 | 100 |
| 2.314 | 38.9 | 23 |
| 1.885 | 48.3 | 19 |
| 1.845 | 49.4 | 11 |
| 1.552 | 59.6 | 11 |
| 1.461 | 63.7 | 16 |
| 1.378 | 68.1 | 14 |

---

Diffraction record for La7Cu3. The powder X-ray diffraction pattern is theoretical, not measured: it uses a PBE-relaxed structure and a wavelength of 1.5418 Å.
Peak positions follow from Bragg's law for the DFT cell and can differ from measured ones.

Atomic structure:
Unit cell a=10.350 b=10.350 c=6.486 alpha=90.00 beta=90.00 gamma=120.00
Fractional positions:
La 0.077 0.538 0.000
La 0.127 0.253 0.699
La 0.127 0.873 0.699
La 0.253 0.127 0.199
La 0.333 0.667 0.512
La 0.462 0.538 0.000
La 0.462 0.923 0.000
La 0.538 0.077 0.500
La 0.538 0.462 0.500
La 0.667 0.333 0.012
La 0.747 0.873 0.699
La 0.873 0.127 0.199
La 0.873 0.747 0.199
La 0.923 0.462 0.500
Cu 0.189 0.378 0.268
Cu 0.189 0.811 0.268
Cu 0.378 0.189 0.768
Cu 0.622 0.811 0.268
Cu 0.811 0.189 0.768
Cu 0.811 0.622 0.768

Most intense lines, 2θ = 10–80°, low angle first:
| d/Å | 2θ (°) | Rel. int. |
| --- | --- | --- |
| 3.388 | 26.3 | 17 |
| 3.050 | 29.3 | 41 |
| 3.003 | 29.8 | 100 |
| 2.988 | 29.9 | 14 |
| 2.714 | 33.0 | 47 |
| 2.627 | 34.1 | 42 |
| 2.588 | 34.7 | 35 |
| 1.752 | 52.2 | 22 |
| 1.737 | 52.7 | 25 |
| 1.727 | 53.0 | 40 |